[1]
Simulated powder XRD pattern of MnAl2Fe4 for Cu Kα, from a crystal structure in Alexandria, relaxed with PBE.
Peak positions follow from Bragg's law for the DFT cell and can differ from measured ones.

Structure:
```
data_MnAl2Fe4
_chemical_formula_sum 'Mn2 Al4 Fe8'
_symmetry_space_group_name_H-M 'I 4/m m m'
_symmetry_Int_Tables_number 139
_symmetry_space_group_name_Hall '-I 4 2'
_cell_length_a 4.8867
_cell_length_b 4.8867
_cell_length_c 7.8629
_cell_angle_alpha 90.00
_cell_angle_beta 90.00
_cell_angle_gamma 90.00
loop_
_atom_site_label
_atom_site_fract_x
_atom_site_fract_y
_atom_site_fract_z
_atom_site_occupancy
Mn1 0.0000 0.0000 0.0000 1
Al1 0.0000 0.5000 0.0000 1
Fe1 0.2500 0.2500 0.2500 1
```

The 10 most intense peaks (2θ from 10° to 90°), sorted by position:
d [Å], I_rel
4.150, 18
3.931, 20
2.443, 11
2.106, 5
2.075, 100
1.966, 21
1.728, 27
1.298, 19
1.222, 8
1.155, 13



[2]
Simulated powder XRD pattern of CrIr4Rh7 for Cu Kα, from a crystal structure in Alexandria, relaxed with PBE.
Peak positions follow from Bragg's law for the DFT cell and can differ from measured ones.

Structure:
```
data_CrIr4Rh7
_chemical_formula_sum 'Cr1 Ir4 Rh7'
_symmetry_space_group_name_H-M 'P -3 m 1'
_symmetry_Int_Tables_number 164
_symmetry_space_group_name_Hall '-P 3 2"'
_cell_length_a 4.3604
_cell_length_b 4.3604
_cell_length_c 10.6840
_cell_angle_alpha 90.00
_cell_angle_beta 90.00
_cell_angle_gamma 120.00
loop_
_atom_site_label
_atom_site_fract_x
_atom_site_fract_y
_atom_site_fract_z
_atom_site_occupancy
Cr1 0.0000 0.0000 0.0000 1
Ir1 0.3333 0.6667 0.1890 1
Ir2 0.3333 0.6667 0.4370 1
Rh1 0.0000 0.0000 0.2320 1
Rh2 0.0000 0.0000 0.5000 1
Rh3 0.3333 0.6667 0.6840 1
Rh4 0.3333 0.6667 0.9405 1
```

The 10 most intense peaks (2θ from 10° to 90°), sorted by position:
d [Å], I_rel
3.776, 4
3.561, 8
2.180, 100
1.859, 4
1.689, 2
1.542, 16
1.415, 2
1.259, 31
1.139, 5
1.090, 4



[3]
Simulated powder XRD pattern of KCdHg14 for Cu Kα, from a crystal structure in Alexandria, relaxed with PBE.
Peak positions follow from Bragg's law for the DFT cell and can differ from measured ones.

Structure:
```
data_KCdHg14
_chemical_formula_sum 'K2 Cd2 Hg28'
_symmetry_space_group_name_H-M 'P -1'
_symmetry_Int_Tables_number 2
_cell_length_a 10.9180
_cell_length_b 10.9333
_cell_length_c 10.9873
_cell_angle_alpha 114.63
_cell_angle_beta 116.62
_cell_angle_gamma 97.32
loop_
_symmetry_equiv_pos_as_xyz
'x,y,z'
'-x,-y,-z'
loop_
_atom_site_label
_atom_site_fract_x
_atom_site_fract_y
_atom_site_fract_z
_atom_site_occupancy
K1 0.1010 0.3500 0.2490 1
Cd1 0.5000 0.0000 0.5000 1
Cd2 0.5000 0.5000 0.0000 1
Hg1 0.0564 0.0011 0.2234 1
Hg2 0.0577 0.3334 0.5533 1
Hg3 0.1315 0.0050 0.6251 1
Hg4 0.1718 0.5678 0.1029 1
Hg5 0.1759 0.3118 0.8599 1
Hg6 0.1789 0.8127 0.3668 1
Hg7 0.2198 0.9948 0.0526 1
Hg8 0.2217 0.6667 0.7234 1
Hg9 0.3310 0.2201 0.6062 1
Hg10 0.3797 0.0048 0.8734 1
Hg11 0.3873 0.7760 0.1076 1
Hg12 0.4466 0.3105 0.1321 1
Hg13 0.4538 0.8156 0.6395 1
Hg14 0.4638 0.5669 0.3948 1
```

The 10 most intense peaks (2θ from 10° to 90°), sorted by position:
d [Å], I_rel
2.999, 20
2.959, 40
2.877, 76
2.819, 18
2.802, 100
2.738, 22
2.326, 16
2.308, 19
2.304, 25
1.972, 17



[4]
Simulated powder XRD pattern of V4Co6Ir7 for Cu Kα, from a crystal structure in Alexandria, relaxed with PBE.
Peak positions follow from Bragg's law for the DFT cell and can differ from measured ones.

Structure:
```
data_V4Co6Ir7
_chemical_formula_sum 'V8 Co12 Ir14'
_symmetry_space_group_name_H-M 'I m -3 m'
_symmetry_Int_Tables_number 229
_symmetry_space_group_name_Hall '-I 4 2 3'
_cell_length_a 7.7051
_cell_length_b 7.7051
_cell_length_c 7.7051
_cell_angle_alpha 90.00
_cell_angle_beta 90.00
_cell_angle_gamma 90.00
loop_
_atom_site_label
_atom_site_fract_x
_atom_site_fract_y
_atom_site_fract_z
_atom_site_occupancy
V1 0.2500 0.2500 0.2500 1
Co1 0.0000 0.0000 0.2947 1
Ir1 0.0000 0.0000 0.0000 1
Ir2 0.0000 0.2500 0.5000 1
```

The 10 most intense peaks (2θ from 10° to 90°), sorted by position:
d [Å], I_rel
3.853, 39
3.146, 55
2.224, 100
2.059, 61
1.926, 76
1.643, 23
1.362, 44
1.250, 15
1.162, 31
1.112, 15



[5]
Simulated powder XRD pattern of AcAlAg4 for Cu Kα, from a crystal structure in Alexandria, relaxed with PBE.
Peak positions follow from Bragg's law for the DFT cell and can differ from measured ones.

Structure:
```
data_AcAlAg4
_chemical_formula_sum 'Ac4 Al4 Ag16'
_symmetry_space_group_name_H-M 'C m c m'
_symmetry_Int_Tables_number 63
_symmetry_space_group_name_Hall '-C 2c 2'
_cell_length_a 5.1884
_cell_length_b 14.4553
_cell_length_c 7.3686
_cell_angle_alpha 90.00
_cell_angle_beta 90.00
_cell_angle_gamma 90.00
loop_
_atom_site_label
_atom_site_fract_x
_atom_site_fract_y
_atom_site_fract_z
_atom_site_occupancy
Ac1 0.0000 0.1076 0.2500 1
Al1 0.0000 0.3708 0.2500 1
Ag1 0.0000 0.1166 0.7500 1
Ag2 0.0000 0.2881 0.5587 1
Ag3 0.0000 0.5000 0.0000 1
```

The 10 most intense peaks (2θ from 10° to 90°), sorted by position:
d [Å], I_rel
3.184, 28
2.941, 100
2.594, 57
2.580, 69
2.525, 83
2.194, 22
1.829, 49
1.488, 17
1.484, 19
1.416, 22



[6]
Simulated powder XRD pattern of CaGe2PtRh for Cu Kα, from a crystal structure in Alexandria, relaxed with PBE.
Peak positions follow from Bragg's law for the DFT cell and can differ from measured ones.

Structure:
```
data_CaGe2PtRh
_chemical_formula_sum 'Ca2 Ge4 Pt2 Rh2'
_symmetry_space_group_name_H-M 'I -4 m 2'
_symmetry_Int_Tables_number 119
_symmetry_space_group_name_Hall 'I -4 -2'
_cell_length_a 4.1787
_cell_length_b 4.1787
_cell_length_c 10.6260
_cell_angle_alpha 90.00
_cell_angle_beta 90.00
_cell_angle_gamma 90.00
loop_
_atom_site_label
_atom_site_fract_x
_atom_site_fract_y
_atom_site_fract_z
_atom_site_occupancy
Ca1 0.0000 0.0000 0.0000 1
Ge1 0.0000 0.0000 0.3796 1
Pt1 0.0000 0.5000 0.7500 1
Rh1 0.0000 0.5000 0.2500 1
```

The 10 most intense peaks (2θ from 10° to 90°), sorted by position:
d [Å], I_rel
5.313, 74
3.889, 27
2.702, 25
2.582, 100
2.089, 53
1.976, 62
1.944, 22
1.477, 17
1.282, 22
1.183, 24



[7]
Simulated powder XRD pattern of LiTcGe for Cu Kα, from a crystal structure in Alexandria, relaxed with PBE.
Peak positions follow from Bragg's law for the DFT cell and can differ from measured ones.

Structure:
```
data_LiTcGe
_chemical_formula_sum 'Li8 Tc8 Ge8'
_symmetry_space_group_name_H-M 'F m m m'
_symmetry_Int_Tables_number 69
_symmetry_space_group_name_Hall '-F 2 2'
_cell_length_a 5.2536
_cell_length_b 8.0528
_cell_length_c 8.4999
_cell_angle_alpha 90.00
_cell_angle_beta 90.00
_cell_angle_gamma 90.00
loop_
_atom_site_label
_atom_site_fract_x
_atom_site_fract_y
_atom_site_fract_z
_atom_site_occupancy
Li1 0.0000 0.1544 0.0000 1
Tc1 0.0000 0.0000 0.3643 1
Ge1 0.2500 0.2500 0.2500 1
```

The 10 most intense peaks (2θ from 10° to 90°), sorted by position:
d [Å], I_rel
4.250, 53
3.908, 100
2.382, 49
2.301, 30
2.200, 79
2.013, 29
1.954, 30
1.879, 48
1.652, 29
1.277, 27



[8]
Simulated powder XRD pattern of HfGa2Hg2 for Cu Kα, from a crystal structure in Alexandria, relaxed with PBE.
Peak positions follow from Bragg's law for the DFT cell and can differ from measured ones.

Structure:
```
data_HfGa2Hg2
_chemical_formula_sum 'Hf2 Ga4 Hg4'
_symmetry_space_group_name_H-M 'P 4/m b m'
_symmetry_Int_Tables_number 127
_symmetry_space_group_name_Hall '-P 4 2ab'
_cell_length_a 7.8850
_cell_length_b 7.8850
_cell_length_c 3.3506
_cell_angle_alpha 90.00
_cell_angle_beta 90.00
_cell_angle_gamma 90.00
loop_
_atom_site_label
_atom_site_fract_x
_atom_site_fract_y
_atom_site_fract_z
_atom_site_occupancy
Hf1 0.0000 0.0000 0.0000 1
Ga1 0.1744 0.3256 0.5000 1
Hg1 0.1312 0.6312 0.0000 1
```

The 10 most intense peaks (2θ from 10° to 90°), sorted by position:
d [Å], I_rel
3.526, 28
3.351, 33
2.553, 19
2.493, 70
2.429, 100
2.187, 16
2.000, 37
1.404, 16
1.391, 23
1.342, 17



[9]
Simulated powder XRD pattern of Pa3Sn2Bi3 for Cu Kα, from a crystal structure in Alexandria, relaxed with PBE.
Peak positions follow from Bragg's law for the DFT cell and can differ from measured ones.

Structure:
```
data_Pa3Sn2Bi3
_chemical_formula_sum 'Pa6 Sn4 Bi6'
_symmetry_space_group_name_H-M 'P 63/m c m'
_symmetry_Int_Tables_number 193
_symmetry_space_group_name_Hall '-P 6c 2'
_cell_length_a 9.2608
_cell_length_b 9.2608
_cell_length_c 6.1206
_cell_angle_alpha 90.00
_cell_angle_beta 90.00
_cell_angle_gamma 120.00
loop_
_atom_site_label
_atom_site_fract_x
_atom_site_fract_y
_atom_site_fract_z
_atom_site_occupancy
Pa1 0.0000 0.3924 0.2500 1
Sn1 0.3333 0.6667 0.0000 1
Bi1 0.0000 0.2460 0.7500 1
```

The 10 most intense peaks (2θ from 10° to 90°), sorted by position:
d [Å], I_rel
4.630, 12
3.060, 25
3.031, 18
2.716, 100
2.673, 34
2.553, 47
2.091, 17
1.762, 11
1.693, 25
1.421, 16



[10]
Simulated powder XRD pattern of DyEr9In2 for Cu Kα, from a crystal structure in Alexandria, relaxed with PBE.
Peak positions follow from Bragg's law for the DFT cell and can differ from measured ones.

Structure:
```
data_DyEr9In2
_chemical_formula_sum 'Dy1 Er9 In2'
_symmetry_space_group_name_H-M 'P 4/m m m'
_symmetry_Int_Tables_number 123
_symmetry_space_group_name_Hall '-P 4 2'
_cell_length_a 4.8331
_cell_length_b 4.8331
_cell_length_c 14.7772
_cell_angle_alpha 90.00
_cell_angle_beta 90.00
_cell_angle_gamma 90.00
loop_
_atom_site_label
_atom_site_fract_x
_atom_site_fract_y
_atom_site_fract_z
_atom_site_occupancy
Dy1 0.0000 0.0000 0.0000 1
Er1 0.0000 0.5000 0.1723 1
Er2 0.0000 0.5000 0.5000 1
Er3 0.5000 0.5000 0.0000 1
Er4 0.5000 0.5000 0.3377 1
In1 0.0000 0.0000 0.3388 1
```

The 10 most intense peaks (2θ from 10° to 90°), sorted by position:
d [Å], I_rel
2.808, 100
2.463, 17
2.417, 33
1.725, 23
1.709, 12
1.480, 14
1.460, 27
1.404, 12
1.119, 11
1.110, 6



[11]
Simulated powder XRD pattern of Pr4ScAs5 for Cu Kα, from a crystal structure in Alexandria, relaxed with PBE.
Peak positions follow from Bragg's law for the DFT cell and can differ from measured ones.

Structure:
```
data_Pr4ScAs5
_chemical_formula_sum 'Pr8 Sc2 As10'
_symmetry_space_group_name_H-M 'I 4/m m m'
_symmetry_Int_Tables_number 139
_symmetry_space_group_name_Hall '-I 4 2'
_cell_length_a 4.2512
_cell_length_b 4.2512
_cell_length_c 29.8293
_cell_angle_alpha 90.00
_cell_angle_beta 90.00
_cell_angle_gamma 90.00
loop_
_atom_site_label
_atom_site_fract_x
_atom_site_fract_y
_atom_site_fract_z
_atom_site_occupancy
Pr1 0.0000 0.0000 0.0975 1
Pr2 0.0000 0.0000 0.3018 1
Sc1 0.0000 0.0000 0.5000 1
As1 0.0000 0.0000 0.0000 1
As2 0.0000 0.0000 0.1995 1
As3 0.0000 0.0000 0.4058 1
```

The 10 most intense peaks (2θ from 10° to 90°), sorted by position:
d [Å], I_rel
3.462, 14
3.006, 100
2.983, 47
2.126, 37
2.117, 70
1.731, 37
1.344, 17
1.342, 16
1.336, 14
1.226, 24



[12]
Simulated powder XRD pattern of ErPa2Re9 for Cu Kα, from a crystal structure in Alexandria, relaxed with PBE.
Peak positions follow from Bragg's law for the DFT cell and can differ from measured ones.

Structure:
```
data_ErPa2Re9
_chemical_formula_sum 'Er3 Pa6 Re27'
_symmetry_space_group_name_H-M 'R -3 m'
_symmetry_Int_Tables_number 166
_symmetry_space_group_name_Hall '-R 3 2"'
_cell_length_a 5.2542
_cell_length_b 5.2542
_cell_length_c 27.5525
_cell_angle_alpha 90.00
_cell_angle_beta 90.00
_cell_angle_gamma 120.00
loop_
_atom_site_label
_atom_site_fract_x
_atom_site_fract_y
_atom_site_fract_z
_atom_site_occupancy
Er1 0.0000 0.0000 0.0000 1
Pa1 0.0000 0.0000 0.1468 1
Re1 0.0000 0.0000 0.3352 1
Re2 0.0000 0.0000 0.5000 1
Re3 0.0044 0.5022 0.9180 1
```

The 10 most intense peaks (2θ from 10° to 90°), sorted by position:
d [Å], I_rel
2.977, 15
2.746, 16
2.627, 24
2.296, 29
2.280, 100
2.267, 26
2.103, 27
1.440, 24
1.314, 23
1.140, 19